# YWClO4
Computed powder diffraction line list, Cu Ka. Input: a cell relaxed with PBE+U.
Peak positions follow from Bragg's law for the DFT cell and can differ from measured ones.

Principal peaks in the range 10° ≤ 2θ ≤ 90°, in order of falling intensity:
Position (°2θ), d (Å), I (rel.)
24.15, 3.685, 100
25.52, 3.490, 54
28.26, 3.158, 49
28.94, 3.085, 48
14.99, 5.910, 46
18.79, 4.723, 38
34.12, 2.628, 37
26.78, 3.329, 35
35.42, 2.534, 29
29.69, 3.009, 28
21.86, 4.065, 27
36.37, 2.470, 25

Structural model:
Cell: 6.369 6.369 6.994 Å, 104.49 104.49 70.70°
Sites, in units of the cell vectors:
Y1 0.222 0.222 0.117
Y2 0.778 0.778 0.883
W1 0.363 0.363 0.734
W2 0.637 0.637 0.266
Cl1 0.011 0.011 0.770
Cl2 0.989 0.989 0.230
O1 0.107 0.491 0.843
O2 0.296 0.296 0.465
O3 0.454 0.454 0.193
O4 0.491 0.107 0.843
O5 0.509 0.893 0.157
O6 0.546 0.546 0.807
O7 0.704 0.704 0.535
O8 0.893 0.509 0.157